[1]
This entry pairs a crystal structure of Tb2Sm7 with its calculated XRD peak list. Radiation: Cu Kα. Structure: DFT lattice parameters and positions (GGA-PBE).

The 7 most intense peaks (2θ from 10° to 80°), most intense first:
two_theta, d_spacing, intensity, index
30.31, 2.949, 100, 1 1 1
35.14, 2.554, 51, 2 -1 2
60.08, 1.540, 43, 3 0 3
50.54, 1.806, 36, 3 0 0
63.01, 1.475, 9, 2 2 2
74.27, 1.277, 6, 4 -2 4
63.14, 1.473, 3, 0 0 6

Atomic structure:
Cell: 6.2601 6.2601 8.8351 Å, 90.00 90.00 120.00°
Element x y z (fractional)
Tb (0.3333, 0.6667, 0.0000)
Tb (0.6667, 0.3333, 0.0000)
Sm (0.0000, 0.0000, 0.0000)
Sm (0.0000, 0.3336, 0.6680)
Sm (0.0000, 0.6664, 0.3320)
Sm (0.3336, 0.0000, 0.6680)
Sm (0.3336, 0.3336, 0.3320)
Sm (0.6664, 0.0000, 0.3320)
Sm (0.6664, 0.6664, 0.6680)

---

[2]
This entry pairs a crystal structure of Tb5Sm3 with its calculated XRD peak list. Radiation: Cu Kα. Structure: DFT lattice parameters and positions (GGA-PBE).

The 7 most intense peaks (2θ from 10° to 80°), most intense first:
two_theta, d_spacing, intensity, index
30.53, 2.928, 100, 1 0 4
35.40, 2.536, 51, 1 1 0
60.56, 1.529, 43, 2 1 4
50.93, 1.793, 36, 2 0 0
63.55, 1.464, 12, 2 0 8
74.96, 1.267, 4, 2 2 0
74.79, 1.269, 2, 0 0 16

Atomic structure:
Cell: 3.5836 3.5836 20.3106 Å, 90.00 90.00 90.00°
Element x y z (fractional)
Tb (0.0000, 0.0000, 0.0000)
Tb (0.0000, 0.0000, 0.2509)
Tb (0.0000, 0.0000, 0.7491)
Tb (0.5000, 0.5000, 0.3745)
Tb (0.5000, 0.5000, 0.6255)
Sm (0.0000, 0.0000, 0.5000)
Sm (0.5000, 0.5000, 0.1255)
Sm (0.5000, 0.5000, 0.8745)

---

[3]
This entry pairs a crystal structure of TbSm2 with its calculated XRD peak list. Radiation: Cu Kα. Structure: DFT lattice parameters and positions (GGA-PBE).

The 6 most intense peaks (2θ from 10° to 80°), most intense first:
two_theta, d_spacing, intensity, index
30.36, 2.944, 100, 1 0 3
35.20, 2.550, 51, 1 1 0
60.19, 1.537, 43, 2 1 3
50.63, 1.803, 36, 2 0 0
63.17, 1.472, 12, 2 0 6
74.42, 1.275, 6, 2 2 0

Atomic structure:
Cell: 3.6043 3.6043 15.3077 Å, 90.00 90.00 90.00°
Element x y z (fractional)
Tb (0.0000, 0.0000, 0.0000)
Tb (0.5000, 0.5000, 0.5000)
Sm (0.0000, 0.0000, 0.3342)
Sm (0.0000, 0.0000, 0.6658)
Sm (0.5000, 0.5000, 0.1658)
Sm (0.5000, 0.5000, 0.8342)